Record 1
Structure and computed X-ray diffraction stick pattern of BH11AuC4IN2 (DFT lattice parameters and positions (GGA-PBE); CuKα).
Kinematic intensities with the Lorentz-polarization factor, no thermal factor.

The 6 most intense peaks (2θ from 10° to 80°), in order of rising 2θ:
2θ 10.25, intensity 45; 2θ 10.90, intensity 100; 2θ 11.09, intensity 53; 2θ 19.52, intensity 29; 2θ 21.90, intensity 33; 2θ 29.75, intensity 32

```
BH11AuC4IN2
1.0
6.0594 0.0000 0.0000
-1.9461 9.0982 0.0000
-0.1715 -4.3671 8.6310
B H Au C I N
2 22 2 8 2 4
direct
0.0998 0.0688 0.2566 B
0.9002 0.9312 0.7434 B
0.0270 0.6565 0.7080 H
0.0416 0.3488 0.4754 H
0.1127 0.8837 0.4812 H
0.1688 0.1240 0.1688 H
0.2276 0.1246 0.3752 H
0.2321 0.9115 0.9211 H
0.2464 0.6620 0.5864 H
0.2618 0.0770 0.6383 H
0.3470 0.0878 0.8909 H
0.3951 0.9071 0.5597 H
0.4610 0.9083 0.8051 H
0.5390 0.0917 0.1949 H
0.6049 0.0929 0.4403 H
0.6530 0.9122 0.1091 H
0.7382 0.9230 0.3617 H
0.7536 0.3380 0.4136 H
0.7679 0.0885 0.0789 H
0.7724 0.8754 0.6248 H
0.8312 0.8760 0.8312 H
0.8873 0.1163 0.5188 H
0.9584 0.6512 0.5246 H
0.9730 0.3435 0.2920 H
0.0000 0.5000 0.0000 Au
0.5000 0.5000 0.0000 Au
0.0414 0.7415 0.1108 C
0.0895 0.7002 0.6242 C
0.2335 0.9426 0.5869 C
0.3070 0.9528 0.8388 C
0.6930 0.0472 0.1612 C
0.7665 0.0574 0.4131 C
0.9105 0.2998 0.3758 C
0.9586 0.2585 0.8892 C
0.4856 0.4512 0.7139 I
0.5144 0.5488 0.2861 I
0.0612 0.8838 0.1756 N
0.1373 0.8837 0.6987 N
0.8627 0.1163 0.3013 N
0.9388 0.1162 0.8244 N
```

Record 2
Structure and computed X-ray diffraction stick pattern of Tb4HfAl15 (DFT lattice parameters and positions (GGA-PBE); CuKα).
Kinematic intensities with the Lorentz-polarization factor, no thermal factor.

The 6 most intense peaks (2θ from 10° to 80°), in order of rising 2θ:
2θ 19.63, intensity 57; 2θ 24.27, intensity 80; 2θ 26.12, intensity 73; 2θ 29.57, intensity 100; 2θ 38.61, intensity 70; 2θ 39.86, intensity 76

```
Tb4HfAl15
1.0
3.0205 1.7439 12.0026
-3.0205 1.7439 12.0026
0.0000 -3.4877 12.0026
Tb Hf Al
4 1 15
direct
0.1003 0.1003 0.1003 Tb
0.3688 0.3688 0.3688 Tb
0.6312 0.6312 0.6312 Tb
0.8997 0.8997 0.8997 Tb
0.5000 0.5000 0.5000 Hf
0.0000 0.0000 0.5000 Al
0.0000 0.5000 0.0000 Al
0.0756 0.6158 0.6158 Al
0.1352 0.1352 0.6298 Al
0.1352 0.6298 0.1352 Al
0.3702 0.8648 0.8648 Al
0.3842 0.3842 0.9244 Al
0.3842 0.9244 0.3842 Al
0.5000 0.0000 0.0000 Al
0.6158 0.0756 0.6158 Al
0.6158 0.6158 0.0756 Al
0.6298 0.1352 0.1352 Al
0.8648 0.3702 0.8648 Al
0.8648 0.8648 0.3702 Al
0.9244 0.3842 0.3842 Al
```

Record 3
Structure and computed X-ray diffraction stick pattern of TmLuAl2Fe4 (DFT lattice parameters and positions (GGA-PBE); CuKα).
Kinematic intensities with the Lorentz-polarization factor, no thermal factor.

The 6 most intense peaks (2θ from 10° to 80°), in order of rising 2θ:
2θ 22.45, intensity 56; 2θ 22.59, intensity 56; 2θ 32.06, intensity 100; 2θ 32.27, intensity 48; 2θ 39.75, intensity 96; 2θ 43.52, intensity 67

```
TmLuAl2Fe4
1.0
3.9368 0.0000 0.0000
0.0000 4.8979 0.0000
0.0000 0.0000 6.7328
Tm Lu Al Fe
1 1 2 4
direct
0.0000 0.0000 0.0000 Tm
0.0000 0.5000 0.6164 Lu
0.5000 0.0000 0.6472 Al
0.5000 0.5000 0.9712 Al
0.0000 0.0000 0.4091 Fe
0.0000 0.5000 0.2111 Fe
0.5000 0.2499 0.3101 Fe
0.5000 0.7501 0.3101 Fe
```

Record 4
Structure and computed X-ray diffraction stick pattern of NdTeAuO (DFT lattice parameters and positions (GGA-PBE); CuKα).
Kinematic intensities with the Lorentz-polarization factor, no thermal factor.

The 6 most intense peaks (2θ from 10° to 80°), in order of rising 2θ:
2θ 27.51, intensity 95; 2θ 30.34, intensity 100; 2θ 31.70, intensity 63; 2θ 33.73, intensity 77; 2θ 35.15, intensity 62; 2θ 44.45, intensity 63

```
NdTeAuO
1.0
10.3639 0.0000 0.0000
0.0000 5.8676 0.0000
0.0000 0.0000 5.8916
Nd Te Au O
4 4 4 4
direct
0.1106 0.2500 0.0000 Nd
0.1106 0.7500 0.5000 Nd
0.8894 0.2500 0.5000 Nd
0.8894 0.7500 0.0000 Nd
0.2830 0.2500 0.5008 Te
0.2830 0.7500 0.0008 Te
0.7170 0.2500 0.0008 Te
0.7170 0.7500 0.5008 Te
0.5000 0.0000 0.0009 Au
0.5000 0.0000 0.5009 Au
0.5000 0.5000 0.0009 Au
0.5000 0.5000 0.5009 Au
0.0000 0.0000 0.2499 O
0.0000 0.0000 0.7499 O
0.0000 0.5000 0.2499 O
0.0000 0.5000 0.7499 O
```

Repeat the fourth record exactly.
Structure and computed X-ray diffraction stick pattern of NdTeAuO (DFT lattice parameters and positions (GGA-PBE); CuKα).
Kinematic intensities with the Lorentz-polarization factor, no thermal factor.

The 6 most intense peaks (2θ from 10° to 80°), in order of rising 2θ:
2θ 27.51, intensity 95; 2θ 30.34, intensity 100; 2θ 31.70, intensity 63; 2θ 33.73, intensity 77; 2θ 35.15, intensity 62; 2θ 44.45, intensity 63

```
NdTeAuO
1.0
10.3639 0.0000 0.0000
0.0000 5.8676 0.0000
0.0000 0.0000 5.8916
Nd Te Au O
4 4 4 4
direct
0.1106 0.2500 0.0000 Nd
0.1106 0.7500 0.5000 Nd
0.8894 0.2500 0.5000 Nd
0.8894 0.7500 0.0000 Nd
0.2830 0.2500 0.5008 Te
0.2830 0.7500 0.0008 Te
0.7170 0.2500 0.0008 Te
0.7170 0.7500 0.5008 Te
0.5000 0.0000 0.0009 Au
0.5000 0.0000 0.5009 Au
0.5000 0.5000 0.0009 Au
0.5000 0.5000 0.5009 Au
0.0000 0.0000 0.2499 O
0.0000 0.0000 0.7499 O
0.0000 0.5000 0.2499 O
0.0000 0.5000 0.7499 O
```